Starting from the GGA+U geometry in Alexandria, the XRD peak list of V3O5F was computed for Cu Kα X-rays.
Intensities are scaled so that the largest is 100.

Largest 8 diffraction maxima, by angle, 10° ≤ 2θ ≤ 80°:
- d 3.322, 2θ 26.84, rel. 94
- d 3.175, 2θ 28.11, rel. 92
- d 2.553, 2θ 35.15, rel. 100
- d 2.255, 2θ 39.98, rel. 23
- d 2.208, 2θ 40.88, rel. 20
- d 1.729, 2θ 52.97, rel. 57
- d 1.686, 2θ 54.43, rel. 53
- d 1.370, 2θ 68.51, rel. 38

Structural model:
Lattice parameters (Å, degrees): 9.216 4.595 4.595 87.41 90.00 90.00
Atoms (fractional coordinates):
V 0.000 0.000 0.000
V 0.156 0.501 0.501
V 0.335 0.040 0.040
V 0.500 0.502 0.502
V 0.665 0.040 0.040
V 0.844 0.501 0.501
O 0.000 0.310 0.310
O 0.000 0.696 0.696
O 0.175 0.209 0.801
O 0.175 0.801 0.209
O 0.332 0.308 0.308
O 0.500 0.200 0.815
O 0.500 0.815 0.200
O 0.668 0.308 0.308
O 0.825 0.209 0.801
O 0.825 0.801 0.209
F 0.332 0.710 0.710
F 0.668 0.710 0.710